For MgFePO5, the PBE+U geometry in Alexandria gives the simulated X-ray powder pattern in this record (Cu Ka).
Peak positions follow from Bragg's law for the DFT cell and can differ from measured ones.

Top 8 peaks for 10 to 80 degrees two-theta, in order of rising 2θ:
2θ = 17.6°, I 27; 2θ = 25.7°, I 34; 2θ = 27.8°, I 100; 2θ = 28.0°, I 71; 2θ = 35.5°, I 27; 2θ = 35.8°, I 44; 2θ = 54.7°, I 32; 2θ = 63.6°, I 21

Crystal structure
```
16
Lattice="3.481 -4.092 0.000 3.481 4.092 0.000 -2.824 0.000 6.432" Properties=species:S:1:pos:R:3 pbc="T T T"
Mg 2.069 2.620 3.216
Mg 3.481 -2.620 0.000
Fe 3.101 0.091 1.998
Fe 1.689 -0.091 5.214
P 3.917 2.862 0.433
P 2.505 -2.862 3.649
O -0.230 0.055 4.348
O 1.182 -0.055 1.132
O 3.033 2.097 1.456
O 2.048 1.853 6.170
O 2.403 0.748 3.662
O 3.815 -0.748 0.446
O 1.621 -2.097 4.672
O 5.110 0.468 2.612
O 3.460 -1.853 2.954
O 3.698 -0.468 5.828
```